[1]
This entry pairs a crystal structure of Dy4Al with its simulated X-ray powder pattern. Radiation: Cu Kα (weighted mean of Kα1 and Kα2). Structure: DFT lattice parameters and positions (PBE).
Lines closer than 0.1° are merged.

Cell and atoms:
Cell lengths 9.285, 9.285, 5.957 Å; angles 101.60, 101.60, 136.87 degrees
Positions (direct):
Dy 0.056 0.470 0.757
Dy 0.115 0.278 0.148
Dy 0.278 0.115 0.648
Dy 0.470 0.056 0.257
Dy 0.530 0.944 0.743
Dy 0.722 0.885 0.352
Dy 0.885 0.722 0.852
Dy 0.944 0.530 0.243
Al 0.443 0.557 0.750
Al 0.557 0.443 0.250

Peak list (8 most intense, 2θ from 10° to 90°, by intensity)
33.48 deg, d = 2.677 Å, rel. 1000; 27.32 deg, d = 3.264 Å, rel. 946; 31.31 deg, d = 2.857 Å, rel. 415; 32.25 deg, d = 2.776 Å, rel. 408; 36.02 deg, d = 2.493 Å, rel. 402; 56.36 deg, d = 1.632 Å, rel. 205; 53.76 deg, d = 1.705 Å, rel. 193; 30.72 deg, d = 2.911 Å, rel. 188

[2]
This entry pairs a crystal structure of PaInPb2O8 with its simulated X-ray powder pattern. Radiation: Cu Kα (weighted mean of Kα1 and Kα2). Structure: DFT lattice parameters and positions (PBE).
Lines closer than 0.1° are merged.

Cell and atoms:
Cell lengths 6.213, 6.213, 6.213 Å; angles 110.39, 110.39, 107.66 degrees
Positions (direct):
Pa 0.000 0.000 0.000
In 0.250 0.750 0.500
Pb 0.500 0.500 0.000
Pb 0.750 0.250 0.500
O 0.280 0.090 0.810
O 0.280 0.471 0.190
O 0.346 0.040 0.306
O 0.529 0.720 0.810
O 0.734 0.040 0.694
O 0.910 0.720 0.190
O 0.960 0.266 0.306
O 0.960 0.654 0.694

Peak list (8 most intense, 2θ from 10° to 90°, by intensity)
30.19 deg, d = 2.960 Å, rel. 1000; 25.11 deg, d = 3.546 Å, rel. 937; 47.52 deg, d = 1.913 Å, rel. 712; 35.81 deg, d = 2.508 Å, rel. 273; 56.50 deg, d = 1.629 Å, rel. 203; 60.90 deg, d = 1.521 Å, rel. 196; 58.17 deg, d = 1.586 Å, rel. 166; 72.71 deg, d = 1.301 Å, rel. 164

[3]
This entry pairs a crystal structure of Na2SrCd4 with its simulated X-ray powder pattern. Radiation: Cu Kα (weighted mean of Kα1 and Kα2). Structure: DFT lattice parameters and positions (PBE).
Lines closer than 0.1° are merged.

Cell and atoms:
Cell lengths 10.319, 10.319, 5.943 Å; angles 90.02, 90.02, 39.69 degrees
Positions (direct):
Na 0.077 0.339 0.251
Na 0.339 0.077 0.751
Na 0.661 0.923 0.249
Na 0.923 0.661 0.749
Sr 0.276 0.724 0.750
Sr 0.724 0.276 0.250
Cd 0.085 0.753 0.250
Cd 0.247 0.915 0.250
Cd 0.355 0.356 0.000
Cd 0.356 0.355 0.500
Cd 0.644 0.645 0.500
Cd 0.645 0.644 0.000
Cd 0.753 0.085 0.750
Cd 0.915 0.247 0.750

Peak list (8 most intense, 2θ from 10° to 90°, by intensity)
30.31 deg, d = 2.949 Å, rel. 1000; 18.67 deg, d = 4.754 Å, rel. 636; 34.79 deg, d = 2.579 Å, rel. 616; 31.49 deg, d = 2.841 Å, rel. 588; 33.07 deg, d = 2.709 Å, rel. 544; 39.78 deg, d = 2.266 Å, rel. 538; 35.63 deg, d = 2.520 Å, rel. 467; 60.47 deg, d = 1.531 Å, rel. 435

[4]
This entry pairs a crystal structure of K2UPdS4 with its simulated X-ray powder pattern. Radiation: Cu Kα (weighted mean of Kα1 and Kα2). Structure: DFT lattice parameters and positions (PBE).
Lines closer than 0.1° are merged.

Cell and atoms:
Cell lengths 6.557, 6.557, 6.557 Å; angles 111.34, 111.34, 105.80 degrees
Positions (direct):
K 0.000 0.000 0.000
K 0.750 0.250 0.500
U 0.250 0.750 0.500
Pd 0.500 0.500 0.000
S 0.264 0.167 0.566
S 0.302 0.736 0.903
S 0.601 0.698 0.434
S 0.833 0.399 0.097

Peak list (8 most intense, 2θ from 10° to 90°, by intensity)
28.29 deg, d = 3.155 Å, rel. 1000; 16.41 deg, d = 5.402 Å, rel. 973; 45.03 deg, d = 2.013 Å, rel. 576; 24.07 deg, d = 3.698 Å, rel. 408; 34.30 deg, d = 2.615 Å, rel. 396; 29.27 deg, d = 3.051 Å, rel. 354; 45.69 deg, d = 1.986 Å, rel. 195; 52.47 deg, d = 1.744 Å, rel. 195

[5]
This entry pairs a crystal structure of LiUCl5 with its simulated X-ray powder pattern. Radiation: Cu Kα (weighted mean of Kα1 and Kα2). Structure: DFT lattice parameters and positions (PBE).
Lines closer than 0.1° are merged.

Cell and atoms:
Cell lengths 7.248, 7.248, 10.080 Å; angles 110.22, 110.22, 87.59 degrees
Positions (direct):
Li 0.130 0.870 0.750
Li 0.870 0.130 0.250
U 0.000 0.500 0.000
U 0.500 0.000 0.500
Cl 0.162 0.595 0.837
Cl 0.168 0.172 0.959
Cl 0.172 0.168 0.459
Cl 0.323 0.677 0.250
Cl 0.405 0.838 0.663
Cl 0.595 0.162 0.337
Cl 0.677 0.323 0.750
Cl 0.828 0.832 0.541
Cl 0.832 0.828 0.041
Cl 0.838 0.405 0.163

Peak list (8 most intense, 2θ from 10° to 90°, by intensity)
13.36 deg, d = 6.626 Å, rel. 1000; 19.10 deg, d = 4.646 Å, rel. 583; 20.10 deg, d = 4.417 Å, rel. 422; 31.72 deg, d = 2.821 Å, rel. 391; 17.68 deg, d = 5.016 Å, rel. 280; 38.80 deg, d = 2.321 Å, rel. 200; 19.32 deg, d = 4.593 Å, rel. 187; 40.96 deg, d = 2.203 Å, rel. 158

[6]
This entry pairs a crystal structure of Nd3Mg3Zn2 with its simulated X-ray powder pattern. Radiation: Cu Kα (weighted mean of Kα1 and Kα2). Structure: DFT lattice parameters and positions (PBE).
Lines closer than 0.1° are merged.

Cell and atoms:
Cell lengths 8.001, 8.001, 3.862 Å; angles 90.00, 90.00, 120.00 degrees
Positions (direct):
Nd 0.000 0.411 0.000
Nd 0.411 0.000 0.000
Nd 0.589 0.589 0.000
Mg 0.000 0.769 0.500
Mg 0.231 0.231 0.500
Mg 0.769 0.000 0.500
Zn 0.333 0.667 0.500
Zn 0.667 0.333 0.500

Peak list (8 most intense, 2θ from 10° to 90°, by intensity)
32.22 deg, d = 2.779 Å, rel. 1000; 34.79 deg, d = 2.579 Å, rel. 543; 12.78 deg, d = 6.929 Å, rel. 428; 22.22 deg, d = 4.001 Å, rel. 376; 34.24 deg, d = 2.619 Å, rel. 360; 53.24 deg, d = 1.721 Å, rel. 337; 47.30 deg, d = 1.922 Å, rel. 282; 68.94 deg, d = 1.362 Å, rel. 181

[7]
This entry pairs a crystal structure of Na10B19C with its simulated X-ray powder pattern. Radiation: Cu Kα (weighted mean of Kα1 and Kα2). Structure: DFT lattice parameters and positions (PBE).
Lines closer than 0.1° are merged.

Cell and atoms:
Cell lengths 8.020, 8.020, 9.186 Å; angles 108.34, 108.34, 37.51 degrees
Positions (direct):
Na 0.050 0.049 0.248
Na 0.150 0.150 0.751
Na 0.252 0.247 0.250
Na 0.352 0.348 0.750
Na 0.450 0.450 0.248
Na 0.550 0.550 0.752
Na 0.652 0.648 0.250
Na 0.753 0.748 0.750
Na 0.850 0.850 0.249
Na 0.951 0.950 0.752
B 0.031 0.364 0.500
B 0.072 0.728 0.000
B 0.129 0.471 0.001
B 0.230 0.589 0.500
B 0.272 0.928 0.000
B 0.328 0.672 0.000
B 0.381 0.020 0.500
B 0.411 0.770 0.500
B 0.473 0.127 0.000
B 0.529 0.871 0.999
B 0.564 0.234 0.500
B 0.636 0.969 0.500
B 0.672 0.328 0.000
B 0.729 0.071 0.001
B 0.766 0.436 0.500
B 0.842 0.158 0.500
B 0.873 0.527 0.000
B 0.929 0.271 0.999
B 0.980 0.619 0.500
C 0.161 0.839 0.500

Peak list (8 most intense, 2θ from 10° to 90°, by intensity)
40.25 deg, d = 2.240 Å, rel. 1000; 40.72 deg, d = 2.216 Å, rel. 514; 41.70 deg, d = 2.166 Å, rel. 350; 34.26 deg, d = 2.618 Å, rel. 219; 62.02 deg, d = 1.496 Å, rel. 178; 77.54 deg, d = 1.231 Å, rel. 171; 75.95 deg, d = 1.253 Å, rel. 125; 55.03 deg, d = 1.669 Å, rel. 115

Please write out number 4 again, unchanged.
This entry pairs a crystal structure of K2UPdS4 with its simulated X-ray powder pattern. Radiation: Cu Kα (weighted mean of Kα1 and Kα2). Structure: DFT lattice parameters and positions (PBE).
Lines closer than 0.1° are merged.

Cell and atoms:
Cell lengths 6.557, 6.557, 6.557 Å; angles 111.34, 111.34, 105.80 degrees
Positions (direct):
K 0.000 0.000 0.000
K 0.750 0.250 0.500
U 0.250 0.750 0.500
Pd 0.500 0.500 0.000
S 0.264 0.167 0.566
S 0.302 0.736 0.903
S 0.601 0.698 0.434
S 0.833 0.399 0.097

Peak list (8 most intense, 2θ from 10° to 90°, by intensity)
28.29 deg, d = 3.155 Å, rel. 1000; 16.41 deg, d = 5.402 Å, rel. 973; 45.03 deg, d = 2.013 Å, rel. 576; 24.07 deg, d = 3.698 Å, rel. 408; 34.30 deg, d = 2.615 Å, rel. 396; 29.27 deg, d = 3.051 Å, rel. 354; 45.69 deg, d = 1.986 Å, rel. 195; 52.47 deg, d = 1.744 Å, rel. 195